Record 1
Diffraction record for K3Nd3TcO8. The XRD peak list is computed, not measured: it uses a PBE-relaxed structure and Cu Kα.
Peak positions follow from Bragg's law for the DFT cell and can differ from measured ones.

Peak list (8 most intense, 5 to 70 degrees two-theta, low angle first)
- d = 6.307 Å, I 100
- d = 3.153 Å, I 28
- d = 3.009 Å, I 35
- d = 2.901 Å, I 59
- d = 2.562 Å, I 86
- d = 1.868 Å, I 28
- d = 1.759 Å, I 27
- d = 1.536 Å, I 21

Crystal structure
Unit cell a=7.502 b=7.502 c=7.502 alpha=55.94 beta=55.94 gamma=55.94
Fractional coordinates of all 15 atoms:
K (0.000, 0.500, 0.500)
K (0.500, 0.000, 0.500)
K (0.500, 0.500, 0.000)
Nd (0.000, 0.000, 0.500)
Nd (0.000, 0.500, 0.000)
Nd (0.500, 0.000, 0.000)
Tc (0.500, 0.500, 0.500)
O (0.230, 0.230, 0.230)
O (0.262, 0.707, 0.707)
O (0.293, 0.293, 0.738)
O (0.293, 0.738, 0.293)
O (0.707, 0.262, 0.707)
O (0.707, 0.707, 0.262)
O (0.738, 0.293, 0.293)
O (0.770, 0.770, 0.770)

Record 2
Diffraction record for KNd3Te4O12. The XRD peak list is computed, not measured: it uses a PBE-relaxed structure and Cu Kα.
Peak positions follow from Bragg's law for the DFT cell and can differ from measured ones.

Peak list (8 most intense, 5 to 70 degrees two-theta, low angle first)
- d = 6.443 Å, I 17
- d = 3.774 Å, I 45
- d = 3.368 Å, I 100
- d = 3.222 Å, I 41
- d = 2.906 Å, I 40
- d = 1.975 Å, I 30
- d = 1.950 Å, I 24
- d = 1.842 Å, I 24

Crystal structure
Unit cell a=7.955 b=7.955 c=7.955 alpha=108.18 beta=108.18 gamma=108.18
Fractional coordinates of all 20 atoms:
K (0.000, 0.000, 0.000)
Nd (0.000, 0.555, 0.445)
Nd (0.445, 0.000, 0.555)
Nd (0.555, 0.445, 0.000)
Te (0.052, 0.500, 0.948)
Te (0.500, 0.500, 0.500)
Te (0.500, 0.948, 0.052)
Te (0.948, 0.052, 0.500)
O (0.067, 0.637, 0.782)
O (0.112, 0.888, 0.500)
O (0.218, 0.363, 0.933)
O (0.341, 0.659, 0.500)
O (0.363, 0.933, 0.218)
O (0.500, 0.112, 0.888)
O (0.500, 0.341, 0.659)
O (0.637, 0.782, 0.067)
O (0.659, 0.500, 0.341)
O (0.782, 0.067, 0.637)
O (0.888, 0.500, 0.112)
O (0.933, 0.218, 0.363)

Record 3
Diffraction record for KNdTiO4. The XRD peak list is computed, not measured: it uses a PBE-relaxed structure and Cu Kα.
Peak positions follow from Bragg's law for the DFT cell and can differ from measured ones.

Peak list (8 most intense, 5 to 70 degrees two-theta, low angle first)
- d = 13.453 Å, I 100
- d = 3.350 Å, I 27
- d = 2.927 Å, I 62
- d = 2.746 Å, I 18
- d = 2.717 Å, I 19
- d = 1.931 Å, I 20
- d = 1.618 Å, I 10
- d = 1.606 Å, I 10

Crystal structure
Unit cell a=13.453 b=5.493 c=5.433 alpha=90.00 beta=90.00 gamma=90.00
Fractional coordinates of all 28 atoms:
K (0.094, 0.012, 0.250)
K (0.094, 0.488, 0.750)
K (0.906, 0.512, 0.250)
K (0.906, 0.988, 0.750)
Nd (0.396, 0.017, 0.250)
Nd (0.396, 0.483, 0.750)
Nd (0.604, 0.517, 0.250)
Nd (0.604, 0.983, 0.750)
Ti (0.247, 0.504, 0.250)
Ti (0.247, 0.996, 0.750)
Ti (0.753, 0.004, 0.250)
Ti (0.753, 0.496, 0.750)
O (0.116, 0.519, 0.250)
O (0.116, 0.981, 0.750)
O (0.270, 0.250, 0.000)
O (0.270, 0.250, 0.500)
O (0.286, 0.750, 0.000)
O (0.286, 0.750, 0.500)
O (0.434, 0.048, 0.750)
O (0.434, 0.452, 0.250)
O (0.566, 0.548, 0.750)
O (0.566, 0.952, 0.250)
O (0.714, 0.250, 0.000)
O (0.714, 0.250, 0.500)
O (0.730, 0.750, 0.000)
O (0.730, 0.750, 0.500)
O (0.884, 0.019, 0.250)
O (0.884, 0.481, 0.750)

Record 4
Diffraction record for KNdZr4O12. The XRD peak list is computed, not measured: it uses a PBE-relaxed structure and Cu Kα.
Peak positions follow from Bragg's law for the DFT cell and can differ from measured ones.

Peak list (8 most intense, 5 to 70 degrees two-theta, low angle first)
- d = 4.790 Å, I 52
- d = 4.139 Å, I 32
- d = 2.936 Å, I 100
- d = 2.926 Å, I 47
- d = 2.072 Å, I 20
- d = 2.066 Å, I 18
- d = 1.697 Å, I 23
- d = 1.691 Å, I 43

Crystal structure
Unit cell a=8.335 b=5.852 c=5.852 alpha=89.83 beta=90.00 gamma=90.00
Fractional coordinates of all 18 atoms:
K (0.000, 0.000, 0.000)
Nd (0.500, 0.494, 0.494)
Zr (0.245, 0.498, 0.992)
Zr (0.245, 0.992, 0.498)
Zr (0.755, 0.498, 0.992)
Zr (0.755, 0.992, 0.498)
O (0.000, 0.523, 0.980)
O (0.000, 0.980, 0.523)
O (0.232, 0.226, 0.226)
O (0.288, 0.266, 0.722)
O (0.288, 0.722, 0.266)
O (0.310, 0.731, 0.731)
O (0.500, 0.078, 0.453)
O (0.500, 0.453, 0.078)
O (0.690, 0.731, 0.731)
O (0.712, 0.266, 0.722)
O (0.712, 0.722, 0.266)
O (0.768, 0.226, 0.226)

Record 5
Diffraction record for KNdP2Pd4. The XRD peak list is computed, not measured: it uses a PBE-relaxed structure and Cu Kα.
Peak positions follow from Bragg's law for the DFT cell and can differ from measured ones.

Peak list (8 most intense, 5 to 70 degrees two-theta, low angle first)
- d = 10.548 Å, I 99
- d = 5.274 Å, I 33
- d = 3.862 Å, I 18
- d = 3.261 Å, I 40
- d = 2.564 Å, I 100
- d = 2.253 Å, I 60
- d = 2.075 Å, I 47
- d = 1.479 Å, I 16

Crystal structure
Unit cell a=4.150 b=4.150 c=10.548 alpha=90.00 beta=90.00 gamma=90.00
Fractional coordinates of all 8 atoms:
K (0.000, 0.000, 0.000)
Nd (0.000, 0.000, 0.500)
P (0.500, 0.500, 0.191)
P (0.500, 0.500, 0.809)
Pd (0.000, 0.500, 0.294)
Pd (0.000, 0.500, 0.706)
Pd (0.500, 0.000, 0.294)
Pd (0.500, 0.000, 0.706)

Record 6
Diffraction record for K3Nd3P4S16. The XRD peak list is computed, not measured: it uses a PBE-relaxed structure and Cu Kα.
Peak positions follow from Bragg's law for the DFT cell and can differ from measured ones.

Peak list (8 most intense, 5 to 70 degrees two-theta, low angle first)
- d = 9.588 Å, I 24
- d = 8.150 Å, I 100
- d = 7.586 Å, I 31
- d = 5.984 Å, I 40
- d = 3.714 Å, I 17
- d = 3.572 Å, I 23
- d = 2.399 Å, I 20
- d = 2.241 Å, I 23

Crystal structure
Unit cell a=10.100 b=10.100 c=15.175 alpha=90.94 beta=90.94 gamma=71.68
Fractional coordinates of all 52 atoms:
K (0.000, 0.000, 0.000)
K (0.000, 0.000, 0.500)
K (0.029, 0.394, 0.337)
K (0.394, 0.029, 0.837)
K (0.606, 0.971, 0.163)
K (0.971, 0.606, 0.663)
Nd (0.252, 0.486, 0.989)
Nd (0.253, 0.747, 0.250)
Nd (0.486, 0.252, 0.489)
Nd (0.514, 0.748, 0.511)
Nd (0.747, 0.253, 0.750)
Nd (0.748, 0.514, 0.011)
P (0.036, 0.334, 0.861)
P (0.234, 0.604, 0.473)
P (0.334, 0.036, 0.361)
P (0.396, 0.766, 0.027)
P (0.604, 0.234, 0.973)
P (0.666, 0.964, 0.639)
P (0.766, 0.396, 0.527)
P (0.964, 0.666, 0.139)
S (0.040, 0.146, 0.806)
S (0.052, 0.319, 0.996)
S (0.075, 0.705, 0.391)
S (0.146, 0.040, 0.306)
S (0.158, 0.524, 0.171)
S (0.190, 0.403, 0.815)
S (0.207, 0.426, 0.521)
S (0.254, 0.731, 0.576)
S (0.269, 0.746, 0.924)
S (0.295, 0.925, 0.109)
S (0.319, 0.052, 0.496)
S (0.403, 0.190, 0.315)
S (0.415, 0.544, 0.398)
S (0.426, 0.207, 0.021)
S (0.456, 0.585, 0.102)
S (0.476, 0.842, 0.329)
S (0.524, 0.158, 0.671)
S (0.544, 0.415, 0.898)
S (0.574, 0.793, 0.979)
S (0.585, 0.456, 0.602)
S (0.597, 0.810, 0.685)
S (0.681, 0.948, 0.504)
S (0.705, 0.075, 0.891)
S (0.731, 0.254, 0.076)
S (0.746, 0.269, 0.424)
S (0.793, 0.574, 0.479)
S (0.810, 0.597, 0.185)
S (0.842, 0.476, 0.829)
S (0.854, 0.960, 0.694)
S (0.925, 0.295, 0.609)
S (0.948, 0.681, 0.004)
S (0.960, 0.854, 0.194)

Record 7
Diffraction record for K3NdP2S8. The XRD peak list is computed, not measured: it uses a PBE-relaxed structure and Cu Kα.
Peak positions follow from Bragg's law for the DFT cell and can differ from measured ones.

Peak list (8 most intense, 5 to 70 degrees two-theta, low angle first)
- d = 8.486 Å, I 100
- d = 5.214 Å, I 13
- d = 4.223 Å, I 11
- d = 3.296 Å, I 16
- d = 3.232 Å, I 25
- d = 2.632 Å, I 11
- d = 2.607 Å, I 15
- d = 2.341 Å, I 13

Crystal structure
Unit cell a=9.460 b=17.047 c=9.756 alpha=90.00 beta=93.33 gamma=90.00
Fractional coordinates of all 56 atoms:
K (0.113, 0.212, 0.136)
K (0.113, 0.288, 0.636)
K (0.230, 0.040, 0.507)
K (0.230, 0.460, 0.007)
K (0.371, 0.712, 0.876)
K (0.371, 0.788, 0.376)
K (0.629, 0.212, 0.624)
K (0.629, 0.288, 0.124)
K (0.770, 0.540, 0.993)
K (0.770, 0.960, 0.493)
K (0.887, 0.712, 0.364)
K (0.887, 0.788, 0.864)
Nd (0.263, 0.514, 0.485)
Nd (0.263, 0.986, 0.985)
Nd (0.737, 0.014, 0.015)
Nd (0.737, 0.486, 0.515)
P (0.024, 0.599, 0.717)
P (0.024, 0.901, 0.217)
P (0.500, 0.094, 0.238)
P (0.500, 0.406, 0.738)
P (0.500, 0.594, 0.262)
P (0.500, 0.906, 0.762)
P (0.976, 0.099, 0.783)
P (0.976, 0.401, 0.283)
S (0.037, 0.021, 0.177)
S (0.037, 0.479, 0.677)
S (0.066, 0.625, 0.917)
S (0.066, 0.875, 0.417)
S (0.160, 0.658, 0.596)
S (0.160, 0.842, 0.096)
S (0.182, 0.130, 0.843)
S (0.182, 0.370, 0.343)
S (0.284, 0.599, 0.227)
S (0.284, 0.901, 0.727)
S (0.402, 0.179, 0.344)
S (0.402, 0.321, 0.844)
S (0.423, 0.517, 0.766)
S (0.423, 0.983, 0.266)
S (0.475, 0.112, 0.027)
S (0.475, 0.388, 0.527)
S (0.525, 0.612, 0.473)
S (0.525, 0.888, 0.973)
S (0.577, 0.017, 0.734)
S (0.577, 0.483, 0.234)
S (0.598, 0.679, 0.156)
S (0.598, 0.821, 0.656)
S (0.716, 0.099, 0.273)
S (0.716, 0.401, 0.773)
S (0.818, 0.630, 0.657)
S (0.818, 0.870, 0.157)
S (0.840, 0.158, 0.904)
S (0.840, 0.342, 0.404)
S (0.934, 0.125, 0.583)
S (0.934, 0.375, 0.083)
S (0.963, 0.521, 0.323)
S (0.963, 0.979, 0.823)

Record 8
Diffraction record for KNdPaSe4. The XRD peak list is computed, not measured: it uses a PBE-relaxed structure and Cu Kα.
Peak positions follow from Bragg's law for the DFT cell and can differ from measured ones.

Peak list (8 most intense, 5 to 70 degrees two-theta, low angle first)
- d = 7.301 Å, I 100
- d = 7.203 Å, I 36
- d = 3.775 Å, I 64
- d = 3.146 Å, I 81
- d = 3.129 Å, I 40
- d = 2.430 Å, I 32
- d = 2.411 Å, I 37
- d = 2.218 Å, I 72

Crystal structure
Unit cell a=8.875 b=8.875 c=8.875 alpha=120.49 beta=119.14 gamma=90.32
Fractional coordinates of all 14 atoms:
K (0.377, 0.127, 0.250)
K (0.623, 0.873, 0.750)
Nd (0.000, 0.500, 0.500)
Nd (0.500, 0.500, 0.000)
Pa (0.000, 0.000, 0.500)
Pa (0.000, 0.500, 0.000)
Se (0.197, 0.738, 0.459)
Se (0.220, 0.262, 0.959)
Se (0.227, 0.256, 0.529)
Se (0.227, 0.698, 0.971)
Se (0.773, 0.302, 0.029)
Se (0.773, 0.744, 0.471)
Se (0.780, 0.738, 0.041)
Se (0.803, 0.262, 0.541)